# Li3V3O3F5
Calculated XRD peak list, Cu Kα (weighted mean of Kα1 and Kα2). Input: a cell relaxed with GGA+U.

Structural model:
abc: 5.3841 5.7938 5.8087
angles: 69.54 73.78 67.88
Element x y z (fractional)
Li  0.0000  0.0000  0.0000
Li  0.2446  0.4478  0.3151
Li  0.7498  0.6410  0.1734
V  0.1235  0.9165  0.4968
V  0.4453  0.1929  0.8178
V  0.6964  0.6790  0.6720
O  0.3740  0.9736  0.6400
O  0.8393  0.8925  0.8002
O  0.9250  0.7742  0.3567
F  0.0070  0.3630  0.8240
F  0.3714  0.9179  0.1506
F  0.4607  0.5279  0.5217
F  0.4897  0.4516  0.9956
F  0.9758  0.2969  0.3306

Principal peaks in the range 15° ≤ 2θ ≤ 90°, most intense first:
2θ 16.53, intensity 1000, (0 0 1)
2θ 22.36, intensity 481, (1 0 1)
2θ 43.00, intensity 450, (2 2 2)
2θ 28.71, intensity 379, (1 -1 0)
2θ 46.21, intensity 361, (1 1 -2)
2θ 20.34, intensity 313, (0 1 1)
2θ 31.25, intensity 248, (1 1 -1)
2θ 44.43, intensity 236, (1 -2 0)
2θ 31.61, intensity 227, (1 2 1)
2θ 37.80, intensity 217, (1 2 2)
2θ 27.07, intensity 208, (0 1 -1)
2θ 21.12, intensity 206, (1 1 1)